# TbEr8In2
Simulated powder X-ray diffraction pattern, λ = 1.5418 Å (Cu Kα). Input: a structure optimized by DFT (PBE).

Cell and atoms:
a = 8.7819 Å, b = 15.0513 Å, c = 5.5786 Å
α = 90.00°, β = 115.20°, γ = 90.00°
Space group C2/m (No. 12)
Unique sites:
Tb (0.0000, 0.0000, 0.0000)
Er (0.0000, 0.2156, 0.0000)
Er (0.0949, 0.5000, 0.7965)
Er (0.2095, 0.1147, 0.6246)
In (0.0000, 0.3067, 0.5000)

The 10 most intense peaks (10° ≤ 2θ ≤ 80°), in order of falling intensity:
- (1 5 -1), d 2.633, 34.05°, I 100
- (3 1 -1), d 2.857, 31.31°, I 97
- (1 1 -2), d 2.722, 32.90°, I 80
- (2 4 0), d 2.732, 32.78°, I 79
- (0 4 1), d 3.017, 29.61°, I 68
- (2 0 1), d 2.625, 34.15°, I 45
- (1 3 1), d 2.935, 30.45°, I 39
- (4 0 0), d 1.988, 45.64°, I 22
- (1 1 1), d 3.517, 25.33°, I 22
- (5 5 -1), d 1.509, 61.46°, I 22

=====

# Pm11In9Ru4
Simulated powder X-ray diffraction pattern, λ = 1.5418 Å (Cu Kα). Input: a structure optimized by DFT (PBE).

Cell and atoms:
a = 14.7292 Å, b = 21.9894 Å, c = 3.8451 Å
α = 90.00°, β = 90.00°, γ = 90.00°
Space group Cmmm (No. 65)
Unique sites:
Pm (0.0000, 0.0000, 0.0000)
Pm (0.0000, 0.1622, 0.0000)
Pm (0.0000, 0.3736, 0.0000)
Pm (0.1874, 0.5000, 0.0000)
Pm (0.2496, 0.1680, 0.0000)
In (0.0000, 0.5000, 0.5000)
In (0.1044, 0.2633, 0.5000)
In (0.1487, 0.0710, 0.5000)
Ru (0.1493, 0.3997, 0.5000)

The 10 most intense peaks (10° ≤ 2θ ≤ 80°), in order of falling intensity:
- (0 6 1), d 2.656, 33.74°, I 100
- (4 6 0), d 2.598, 34.53°, I 38
- (6 2 0), d 2.395, 37.55°, I 18
- (3 5 1), d 2.494, 36.01°, I 17
- (0 0 2), d 1.923, 47.28°, I 16
- (4 6 2), d 1.545, 59.85°, I 15
- (3 3 1), d 2.798, 31.99°, I 11
- (1 9 0), d 2.410, 37.31°, I 10
- (2 4 1), d 2.897, 30.87°, I 9
- (0 6 3), d 1.210, 79.14°, I 8

=====

# CdGePRuPt
Simulated powder X-ray diffraction pattern, λ = 1.5418 Å (Cu Kα). Input: a structure optimized by DFT (PBE).

Cell and atoms:
a = 11.4311 Å, b = 3.0788 Å, c = 4.9876 Å
α = 90.00°, β = 102.08°, γ = 90.00°
Space group Cm (No. 8)
Unique sites:
Cd (0.0000, 0.0000, 0.0000)
Ge (0.2294, 0.0000, 0.6465)
P (0.3430, 0.0000, 0.3146)
Ru (0.2254, 0.5000, 0.0366)
Pt (0.0451, 0.5000, 0.5268)

The 10 most intense peaks (10° ≤ 2θ ≤ 80°), in order of falling intensity:
- (3 1 -1), d 2.256, 39.97°, I 100
- (1 1 1), d 2.475, 36.29°, I 81
- (3 1 1), d 2.030, 44.63°, I 60
- (2 0 0), d 5.589, 15.86°, I 59
- (4 0 0), d 2.795, 32.03°, I 55
- (1 1 -1), d 2.601, 34.49°, I 50
- (0 0 2), d 2.439, 36.86°, I 47
- (2 0 -2), d 2.429, 37.01°, I 39
- (3 1 -3), d 1.434, 65.05°, I 35
- (2 0 -1), d 4.127, 21.53°, I 32

=====

# BaInSi2S6
Simulated powder X-ray diffraction pattern, λ = 1.5418 Å (Cu Kα). Input: a structure optimized by DFT (PBE).

Cell and atoms:
a = 12.9872 Å, b = 14.0584 Å, c = 6.1214 Å
α = 90.00°, β = 100.85°, γ = 90.00°
Space group C2/c (No. 15)
Unique sites:
Ba (0.0000, 0.1217, 0.2500)
In (0.0000, 0.4025, 0.7500)
Si (0.2180, 0.4240, 0.1987)
S (0.1205, 0.0873, 0.7563)
S (0.1271, 0.3072, 0.0612)
S (0.1632, 0.4447, 0.5196)

The 10 most intense peaks (10° ≤ 2θ ≤ 80°), in order of falling intensity:
- (2 2 -1), d 3.995, 22.26°, I 100
- (2 2 1), d 3.485, 25.56°, I 64
- (4 2 -1), d 2.810, 31.84°, I 46
- (2 0 0), d 6.377, 13.89°, I 45
- (4 2 1), d 2.457, 36.58°, I 32
- (0 2 0), d 7.029, 12.59°, I 31
- (0 4 0), d 3.515, 25.34°, I 30
- (2 4 0), d 3.078, 29.01°, I 28
- (2 4 1), d 2.644, 33.90°, I 24
- (0 4 2), d 2.284, 39.45°, I 23

=====

# Ac3BRh3Au2
Simulated powder X-ray diffraction pattern, λ = 1.5418 Å (Cu Kα). Input: a structure optimized by DFT (PBE).

Cell and atoms:
a = 8.0103 Å, b = 8.0103 Å, c = 3.6780 Å
α = 90.00°, β = 90.00°, γ = 120.00°
Space group P-62m (No. 189)
Unique sites:
Ac (0.0000, 0.6401, 0.0000)
B (0.0000, 0.0000, 0.0000)
Rh (0.0000, 0.1969, 0.5000)
Au (0.3333, 0.6667, 0.5000)

The 10 most intense peaks (10° ≤ 2θ ≤ 80°), in order of falling intensity:
- (1 1 1), d 2.709, 33.07°, I 100
- (3 0 0), d 2.312, 38.95°, I 30
- (4 1 1), d 1.400, 66.83°, I 26
- (1 1 0), d 4.005, 22.20°, I 25
- (2 1 0), d 2.622, 34.20°, I 23
- (2 0 1), d 2.523, 35.58°, I 14
- (2 1 1), d 2.135, 42.33°, I 14
- (3 0 2), d 1.439, 64.77°, I 14
- (2 2 0), d 2.003, 45.28°, I 12
- (2 2 1), d 1.759, 51.99°, I 11

=====

# Te7C5
Simulated powder X-ray diffraction pattern, λ = 1.5418 Å (Cu Kα). Input: a structure optimized by DFT (PBE).

Cell and atoms:
a = 11.1006 Å, b = 11.1006 Å, c = 6.3506 Å
α = 90.00°, β = 90.00°, γ = 90.00°
Space group I4mm (No. 107)
Unique sites:
Te (0.0000, 0.0000, 0.0000)
Te (0.0000, 0.2319, 0.3885)
Te (0.0000, 0.5000, 0.0490)
C (0.0000, 0.0000, 0.6417)
C (0.0982, 0.0982, 0.5611)

The 10 most intense peaks (10° ≤ 2θ ≤ 80°), in order of falling intensity:
- (4 0 0), d 2.773, 32.29°, I 100
- (2 1 1), d 3.911, 22.73°, I 68
- (2 0 0), d 5.550, 15.97°, I 67
- (2 2 2), d 2.469, 36.40°, I 47
- (1 0 1), d 5.512, 16.08°, I 33
- (4 4 0), d 1.962, 46.27°, I 24
- (2 0 2), d 2.756, 32.49°, I 19
- (4 2 0), d 2.481, 36.21°, I 19
- (6 2 2), d 1.536, 60.25°, I 18
- (4 0 2), d 2.090, 43.30°, I 16